# ScPb2
Computed XRD peak list, copper Kα. Input: a DFT-relaxed cell (PBE, Alexandria).

The 10 most intense peaks (2θ = 10–90°), in order of rising 2θ:
| 2θ/deg | I_rel | h k l |
| --- | --- | --- |
| 24.48 | 707 | 2 0 0 |
| 27.20 | 438 | 0 0 2 |
| 30.68 | 1000 | 2 1 1 |
| 34.89 | 356 | 2 2 0 |
| 36.92 | 871 | 2 0 2 |
| 44.79 | 189 | 2 2 2 |
| 50.30 | 261 | 2 1 3 |
| 53.82 | 570 | 4 1 1 |
| 68.34 | 284 | 4 1 3 |
| 81.89 | 186 | 6 1 1 |

Structure:
Unit cell a=7.274 b=7.274 c=6.556 alpha=90.00 beta=90.00 gamma=90.00
Space group I4/mcm (No. 140)
Unique sites:
Sc  0.000  0.000  0.250 [4 per cell]
Pb  0.201  0.299  0.000 [8 per cell]